(1)
Starting from a cell relaxed with GGA-PBE, the X-ray powder pattern of Ca3Ag2F8 was calculated for Cu Kα (λ = 1.5418 Å).

Principal peaks in the range 2θ = 10–90°, in order of rising 2θ:
2θ (°), I_rel, (hkl)
19.2, 54, 1 0 1
27.4, 53, 2 0 0
28.1, 97, 1 1 -1
29.5, 61, 0 0 3
31.5, 100, 1 1 -2
46.8, 56, 3 1 -1

Structural model:
Cell lengths 6.906, 3.665, 9.641 Å; angles 90.00, 109.31, 90.00 degrees
Positions (direct):
Ca1 0.000 0.000 0.000
Ca2 0.259 0.500 0.331
Ca3 0.741 0.500 0.669
Ag1 0.248 0.000 0.683
Ag2 0.752 0.000 0.317
F1 0.051 0.500 0.870
F2 0.107 0.000 0.388
F3 0.306 0.000 0.187
F4 0.392 0.500 0.593
F5 0.608 0.500 0.407
F6 0.694 0.000 0.813
F7 0.893 0.000 0.612
F8 0.949 0.500 0.130

=====

(2)
Starting from a cell relaxed with GGA-PBE, the X-ray powder pattern of CaAg3F8 was calculated for Cu Kα (λ = 1.5418 Å).

Principal peaks in the range 2θ = 10–90°, in order of rising 2θ:
2θ (°), I_rel, (hkl)
13.7, 79, 0 0 1
22.8, 57, 0 1 1
31.7, 100, 1 1 0
33.3, 55, 0 1 2
34.7, 39, 1 1 1
39.4, 38, 2 0 1

Structural model:
Cell lengths 5.642, 5.642, 6.451 Å; angles 90.00, 90.00, 120.00 degrees
Positions (direct):
Ca1 0.000 0.000 0.000
Ag1 0.000 0.000 0.500
Ag2 0.333 0.667 0.631
Ag3 0.667 0.333 0.369
F1 0.082 0.323 0.288
F2 0.240 0.918 0.288
F3 0.323 0.240 0.712
F4 0.333 0.667 0.952
F5 0.667 0.333 0.048
F6 0.677 0.760 0.288
F7 0.760 0.082 0.712
F8 0.918 0.677 0.712